Re11W4: theoretical XRD peak list (λ = 1.5418 Å (Cu Kα)), based on a cell relaxed with PBE.
Neutral-atom scattering factors, no anomalous dispersion.

Cell and atoms:
Cell: 9.5893 9.5893 5.0133 Å, 90.00 90.00 90.00°
Fractional coordinates of all 30 atoms:
Re (0.0000, 0.0000, 0.0000)
Re (0.0365, 0.3647, 0.5000)
Re (0.0649, 0.2626, 0.0000)
Re (0.0995, 0.0995, 0.5000)
Re (0.1353, 0.5365, 0.0000)
Re (0.2374, 0.5649, 0.5000)
Re (0.2626, 0.0649, 0.0000)
Re (0.3647, 0.0365, 0.5000)
Re (0.4005, 0.5995, 0.0000)
Re (0.4351, 0.7626, 0.5000)
Re (0.4635, 0.8647, 0.0000)
Re (0.5000, 0.5000, 0.5000)
Re (0.5365, 0.1353, 0.0000)
Re (0.5649, 0.2374, 0.5000)
Re (0.5995, 0.4005, 0.0000)
Re (0.6353, 0.9635, 0.5000)
Re (0.7374, 0.9351, 0.0000)
Re (0.7626, 0.4351, 0.5000)
Re (0.8647, 0.4635, 0.0000)
Re (0.9005, 0.9005, 0.5000)
Re (0.9351, 0.7374, 0.0000)
Re (0.9635, 0.6353, 0.5000)
W (0.1842, 0.8158, 0.2505)
W (0.1842, 0.8158, 0.7495)
W (0.3158, 0.3158, 0.2495)
W (0.3158, 0.3158, 0.7505)
W (0.6842, 0.6842, 0.2495)
W (0.6842, 0.6842, 0.7505)
W (0.8158, 0.1842, 0.2505)
W (0.8158, 0.1842, 0.7495)

Peak list (12 most intense, 2θ = 10–90°, by angle)
h k l  2theta  intensity
0 0 2  35.82  22
4 1 0  38.72  90
3 3 0  39.89  39
2 0 2  40.61  35
2 1 2  41.74  67
4 1 1  42.86  100
3 3 1  43.94  49
3 1 2  47.03  15
5 3 2  68.20  20
5 5 0  69.24  32
7 2 0  71.64  17
4 1 4  88.67  23